Entry 1:
Computed PXRD pattern
Compound: Nd3RhI3
Radiation: Cu Kα
Structure: a DFT-relaxed cell (PBE, Alexandria)
Intensities are scaled so that the largest is 100.

Top 6 peaks for 2θ from 10° to 80°, by intensity:
| Position (°2θ) | I/Imax |
| --- | --- |
| 28.40 | 100 |
| 40.01 | 22 |
| 41.20 | 21 |
| 42.84 | 13 |
| 52.21 | 12 |
| 38.24 | 10 |

Unit cell a=9.424 b=4.222 c=12.573 alpha=90.00 beta=92.42 gamma=90.00
Space group P2_1/m (No. 11)
Unique sites:
Nd 0.096 0.250 0.389
Nd 0.117 0.250 0.839
Nd 0.311 0.750 0.620
Rh 0.111 0.250 0.619
I 0.139 0.250 0.115
I 0.375 0.750 0.876
I 0.392 0.750 0.367

***

Entry 2:
Computed PXRD pattern
Compound: CeThBi6
Radiation: Cu Kα
Structure: a DFT-relaxed cell (PBE, Alexandria)
Intensities are scaled so that the largest is 100.

Top 6 peaks for 2θ from 10° to 80°, by intensity:
| Position (°2θ) | I/Imax |
| --- | --- |
| 29.45 | 100 |
| 33.10 | 93 |
| 29.84 | 52 |
| 64.81 | 35 |
| 38.96 | 31 |
| 38.72 | 30 |

Unit cell a=4.651 b=4.624 c=23.956 alpha=90.00 beta=90.00 gamma=90.00
Space group Amm2 (No. 38)
Unique sites:
Ce 0.000 0.000 0.000
Th 0.500 0.000 0.346
Bi 0.000 0.000 0.237
Bi 0.000 0.000 0.606
Bi 0.000 0.000 0.865
Bi 0.500 0.000 0.109
Bi 0.500 0.000 0.485
Bi 0.500 0.000 0.737

***

Entry 3:
Computed PXRD pattern
Compound: CaGeOs2
Radiation: Cu Kα
Structure: a DFT-relaxed cell (PBE, Alexandria)
Intensities are scaled so that the largest is 100.

Top 6 peaks for 2θ from 10° to 80°, by intensity:
| Position (°2θ) | I/Imax |
| --- | --- |
| 20.49 | 100 |
| 30.01 | 85 |
| 20.01 | 56 |
| 48.03 | 46 |
| 45.66 | 41 |
| 40.66 | 35 |

Unit cell a=4.471 b=4.471 c=17.750 alpha=90.00 beta=90.00 gamma=90.00
Space group I-42d (No. 122)
Unique sites:
Ca 0.000 0.000 0.000
Ge 0.000 0.000 0.500
Os 0.102 0.250 0.625

***

Entry 4:
Computed PXRD pattern
Compound: Mn6NiOs
Radiation: Cu Kα
Structure: a DFT-relaxed cell (PBE, Alexandria)
Intensities are scaled so that the largest is 100.

Top 6 peaks for 2θ from 10° to 80°, by intensity:
| Position (°2θ) | I/Imax |
| --- | --- |
| 43.19 | 100 |
| 50.11 | 32 |
| 74.04 | 18 |
| 17.32 | 18 |
| 50.68 | 15 |
| 30.10 | 13 |

Unit cell a=7.205 b=7.276 c=3.644 alpha=90.00 beta=90.00 gamma=90.00
Space group Cmmm (No. 65)
Unique sites:
Mn 0.000 0.242 0.000
Mn 0.246 0.000 0.000
Mn 0.250 0.250 0.500
Ni 0.000 0.000 0.500
Os 0.000 0.500 0.500